Theoretical powder X-ray diffraction pattern of Rb2HBrO for copper Kα, from a crystal structure in the Materials Project, relaxed with PBE.
Intensities are scaled so that the largest is 100.

Most intense lines, 10 to 90 degrees two-theta, sorted by position:
Position (°2θ)  I_rel
22.10  49
26.12  79
28.49  100
28.72  75
32.83  34
34.51  40
39.68  42
39.83  31

Structure:
```
Rb2HBrO
1.0
7.1370 0.0000 0.0000
0.0000 4.5425 0.0000
-2.6585 0.0000 8.6518
Rb H Br O
4 2 2 2
direct
0.2104 0.2500 0.3834
0.2098 0.2500 0.9603
0.7902 0.7500 0.0397
0.7896 0.7500 0.6166
0.3271 0.7500 0.1974
0.6729 0.2500 0.8026
0.3208 0.7500 0.6998
0.6792 0.2500 0.3002
0.1842 0.7500 0.1665
0.8158 0.2500 0.8335
```